1.
Starting from DFT lattice parameters and positions (PBE), the XRD peak list of Ce4UO10 was simulated for Cu Kα, 1.54184 Å.
Kinematic intensities with the Lorentz-polarization factor, no thermal factor.

Main lines, low angle first (2θ = 10–90°):
- 2θ 28.37, rel. 100
- 2θ 32.74, rel. 11
- 2θ 32.94, rel. 21
- 2θ 47.13, rel. 35
- 2θ 47.27, rel. 18
- 2θ 55.80, rel. 15
- 2θ 56.05, rel. 30
- 2θ 58.69, rel. 9
- 2θ 76.08, rel. 12
- 2θ 87.86, rel. 11

Structure:
abc: 13.942 13.942 13.942
angles: 164.14 164.14 22.50
Fractional positions:
Ce (0.102, 0.102, 0.000)
Ce (0.299, 0.299, 0.000)
Ce (0.701, 0.701, 0.000)
Ce (0.898, 0.898, 0.000)
U (0.500, 0.500, 0.000)
O (0.047, 0.547, 0.500)
O (0.149, 0.649, 0.500)
O (0.250, 0.750, 0.500)
O (0.351, 0.851, 0.500)
O (0.453, 0.953, 0.500)
O (0.547, 0.047, 0.500)
O (0.649, 0.149, 0.500)
O (0.750, 0.250, 0.500)
O (0.851, 0.351, 0.500)
O (0.953, 0.453, 0.500)



2.
Starting from DFT lattice parameters and positions (PBE), the XRD peak list of Ce2Al3Ru was simulated for Cu Kα, 1.54184 Å.
Kinematic intensities with the Lorentz-polarization factor, no thermal factor.

Main lines, low angle first (2θ = 10–90°):
- 2θ 20.24, rel. 38
- 2θ 21.01, rel. 20
- 2θ 32.13, rel. 94
- 2θ 35.90, rel. 66
- 2θ 38.27, rel. 100
- 2θ 38.71, rel. 23
- 2θ 57.29, rel. 18
- 2θ 59.76, rel. 31
- 2θ 61.40, rel. 25
- 2θ 67.22, rel. 19

Structure:
abc: 5.571 5.571 8.775
angles: 90.00 90.00 120.00
Fractional positions:
Ce (0.333, 0.667, 0.062)
Ce (0.333, 0.667, 0.438)
Ce (0.667, 0.333, 0.562)
Ce (0.667, 0.333, 0.938)
Al (0.163, 0.325, 0.750)
Al (0.163, 0.837, 0.750)
Al (0.325, 0.163, 0.250)
Al (0.675, 0.837, 0.750)
Al (0.837, 0.163, 0.250)
Al (0.837, 0.675, 0.250)
Ru (0.000, 0.000, 0.000)
Ru (0.000, 0.000, 0.500)



3.
Starting from DFT lattice parameters and positions (PBE), the XRD peak list of DyAgTe2 was simulated for Cu Kα, 1.54184 Å.
Kinematic intensities with the Lorentz-polarization factor, no thermal factor.

Main lines, low angle first (2θ = 10–90°):
- 2θ 12.05, rel. 20
- 2θ 25.86, rel. 100
- 2θ 33.52, rel. 72
- 2θ 40.03, rel. 64
- 2θ 43.66, rel. 44
- 2θ 48.28, rel. 18
- 2θ 53.18, rel. 19
- 2θ 60.72, rel. 16
- 2θ 68.59, rel. 18
- 2θ 75.24, rel. 17

Structure:
abc: 4.504 4.504 7.342
angles: 90.00 90.00 120.00
Fractional positions:
Dy (0.000, 0.000, 0.000)
Ag (0.333, 0.667, 0.599)
Te (0.333, 0.667, 0.220)
Te (0.667, 0.333, 0.756)



4.
Starting from DFT lattice parameters and positions (PBE), the XRD peak list of K2CoCl4 was simulated for Cu Kα, 1.54184 Å.
Kinematic intensities with the Lorentz-polarization factor, no thermal factor.

Main lines, low angle first (2θ = 10–90°):
- 2θ 19.66, rel. 30
- 2θ 22.66, rel. 62
- 2θ 24.31, rel. 29
- 2θ 25.09, rel. 35
- 2θ 27.10, rel. 52
- 2θ 28.51, rel. 43
- 2θ 29.70, rel. 100
- 2θ 31.51, rel. 37
- 2θ 35.86, rel. 26
- 2θ 41.26, rel. 29

Structure:
abc: 6.883 9.708 12.863
angles: 90.00 107.01 90.00
Fractional positions:
K (0.096, 0.096, 0.335)
K (0.096, 0.404, 0.835)
K (0.276, 0.645, 0.507)
K (0.276, 0.855, 0.007)
K (0.724, 0.145, 0.993)
K (0.724, 0.355, 0.493)
K (0.904, 0.596, 0.165)
K (0.904, 0.904, 0.665)
Co (0.382, 0.147, 0.680)
Co (0.382, 0.353, 0.180)
Co (0.618, 0.647, 0.820)
Co (0.618, 0.853, 0.320)
Cl (0.201, 0.165, 0.101)
Cl (0.201, 0.335, 0.601)
Cl (0.281, 0.688, 0.780)
Cl (0.281, 0.812, 0.280)
Cl (0.288, 0.101, 0.832)
Cl (0.288, 0.399, 0.332)
Cl (0.294, 0.537, 0.069)
Cl (0.294, 0.963, 0.569)
Cl (0.706, 0.037, 0.431)
Cl (0.706, 0.463, 0.931)
Cl (0.712, 0.601, 0.668)
Cl (0.712, 0.899, 0.168)
Cl (0.719, 0.188, 0.720)
Cl (0.719, 0.312, 0.220)
Cl (0.799, 0.665, 0.399)
Cl (0.799, 0.835, 0.899)



5.
Starting from DFT lattice parameters and positions (PBE), the XRD peak list of KSrTbSbO6 was simulated for Cu Kα, 1.54184 Å.
Kinematic intensities with the Lorentz-polarization factor, no thermal factor.

Main lines, low angle first (2θ = 10–90°):
- 2θ 20.99, rel. 19
- 2θ 21.10, rel. 10
- 2θ 29.90, rel. 100
- 2θ 42.72, rel. 22
- 2θ 42.96, rel. 11
- 2θ 48.09, rel. 8
- 2θ 53.04, rel. 27
- 2θ 53.19, rel. 13
- 2θ 62.19, rel. 13
- 2θ 70.35, rel. 12

Structure:
abc: 8.422 8.465 8.467
angles: 90.00 90.00 90.00
Fractional positions:
K (0.250, 0.250, 0.250)
K (0.250, 0.750, 0.750)
K (0.750, 0.250, 0.250)
K (0.750, 0.750, 0.750)
Sr (0.250, 0.250, 0.750)
Sr (0.250, 0.750, 0.250)
Sr (0.750, 0.250, 0.750)
Sr (0.750, 0.750, 0.250)
Tb (0.000, 0.000, 0.000)
Tb (0.000, 0.500, 0.500)
Tb (0.500, 0.000, 0.500)
Tb (0.500, 0.500, 0.000)
Sb (0.000, 0.000, 0.500)
Sb (0.000, 0.500, 0.000)
Sb (0.500, 0.000, 0.000)
Sb (0.500, 0.500, 0.500)
O (0.005, 0.007, 0.736)
O (0.005, 0.493, 0.764)
O (0.005, 0.736, 0.018)
O (0.005, 0.764, 0.482)
O (0.236, 0.005, 0.495)
O (0.236, 0.495, 0.005)
O (0.264, 0.005, 0.005)
O (0.264, 0.495, 0.495)
O (0.495, 0.007, 0.764)
O (0.495, 0.493, 0.736)
O (0.495, 0.736, 0.482)
O (0.495, 0.764, 0.018)
O (0.505, 0.236, 0.982)
O (0.505, 0.264, 0.518)
O (0.505, 0.507, 0.264)
O (0.505, 0.993, 0.236)
O (0.736, 0.505, 0.505)
O (0.736, 0.995, 0.995)
O (0.764, 0.505, 0.995)
O (0.764, 0.995, 0.505)
O (0.995, 0.236, 0.518)
O (0.995, 0.264, 0.982)
O (0.995, 0.507, 0.236)
O (0.995, 0.993, 0.264)



6.
Starting from DFT lattice parameters and positions (PBE), the XRD peak list of MgZn2 was simulated for Cu Kα, 1.54184 Å.
Kinematic intensities with the Lorentz-polarization factor, no thermal factor.

Main lines, low angle first (2θ = 10–90°):
- 2θ 20.97, rel. 35
- 2θ 26.97, rel. 73
- 2θ 36.10, rel. 88
- 2θ 38.02, rel. 90
- 2θ 40.21, rel. 100
- 2θ 40.80, rel. 81
- 2θ 41.82, rel. 49
- 2θ 55.60, rel. 62
- 2θ 66.15, rel. 28
- 2θ 83.80, rel. 24

Structure:
abc: 4.741 4.741 5.288
angles: 90.00 90.00 116.69
Fractional positions:
Mg (0.121, 0.879, 0.750)
Mg (0.879, 0.121, 0.250)
Zn (0.217, 0.783, 0.250)
Zn (0.500, 0.500, 0.000)
Zn (0.500, 0.500, 0.500)
Zn (0.783, 0.217, 0.750)



7.
Starting from DFT lattice parameters and positions (PBE), the XRD peak list of Li6Hf2O7 was simulated for Cu Kα, 1.54184 Å.
Kinematic intensities with the Lorentz-polarization factor, no thermal factor.

Main lines, low angle first (2θ = 10–90°):
- 2θ 17.11, rel. 30
- 2θ 17.24, rel. 70
- 2θ 18.55, rel. 100
- 2θ 22.43, rel. 26
- 2θ 23.54, rel. 66
- 2θ 25.81, rel. 35
- 2θ 26.96, rel. 36
- 2θ 29.99, rel. 54
- 2θ 31.13, rel. 30
- 2θ 42.15, rel. 54

Structure:
abc: 6.027 6.027 10.201
angles: 98.95 98.95 59.67
Fractional positions:
Li (0.077, 0.336, 0.895)
Li (0.082, 0.794, 0.915)
Li (0.206, 0.918, 0.585)
Li (0.336, 0.077, 0.395)
Li (0.336, 0.532, 0.397)
Li (0.468, 0.664, 0.103)
Li (0.532, 0.336, 0.897)
Li (0.664, 0.468, 0.603)
Li (0.664, 0.923, 0.605)
Li (0.794, 0.082, 0.415)
Li (0.918, 0.206, 0.085)
Li (0.923, 0.664, 0.105)
Hf (0.193, 0.439, 0.635)
Hf (0.439, 0.193, 0.135)
Hf (0.561, 0.807, 0.865)
Hf (0.807, 0.561, 0.365)
O (0.000, 0.268, 0.502)
O (0.000, 0.732, 0.498)
O (0.138, 0.361, 0.255)
O (0.257, 0.499, 0.024)
O (0.268, 0.000, 0.002)
O (0.350, 0.650, 0.750)
O (0.361, 0.138, 0.755)
O (0.499, 0.257, 0.524)
O (0.501, 0.743, 0.476)
O (0.639, 0.862, 0.245)
O (0.650, 0.350, 0.250)
O (0.732, 0.000, 0.998)
O (0.743, 0.501, 0.976)
O (0.862, 0.639, 0.745)



8.
Starting from DFT lattice parameters and positions (PBE), the XRD peak list of HfMg6BO7 was simulated for Cu Kα, 1.54184 Å.
Kinematic intensities with the Lorentz-polarization factor, no thermal factor.

Main lines, low angle first (2θ = 10–90°):
- 2θ 19.96, rel. 29
- 2θ 20.67, rel. 29
- 2θ 22.99, rel. 100
- 2θ 28.89, rel. 44
- 2θ 31.11, rel. 55
- 2θ 35.79, rel. 53
- 2θ 36.83, rel. 29
- 2θ 40.56, rel. 36
- 2θ 42.06, rel. 72
- 2θ 59.86, rel. 42

Structure:
abc: 4.296 4.296 8.896
angles: 90.00 90.00 90.00
Fractional positions:
Hf (0.000, 0.000, 0.000)
Mg (0.000, 0.500, 0.276)
Mg (0.000, 0.500, 0.732)
Mg (0.500, 0.000, 0.276)
Mg (0.500, 0.000, 0.732)
Mg (0.500, 0.500, 0.001)
Mg (0.500, 0.500, 0.503)
B (0.000, 0.000, 0.550)
O (0.000, 0.000, 0.236)
O (0.000, 0.500, 0.010)
O (0.000, 0.500, 0.504)
O (0.500, 0.000, 0.010)
O (0.500, 0.000, 0.504)
O (0.500, 0.500, 0.256)
O (0.500, 0.500, 0.753)



9.
Starting from DFT lattice parameters and positions (PBE), the XRD peak list of Nb4Si7Ni4 was simulated for Cu Kα, 1.54184 Å.
Kinematic intensities with the Lorentz-polarization factor, no thermal factor.

Main lines, low angle first (2θ = 10–90°):
- 2θ 16.69, rel. 66
- 2θ 20.15, rel. 71
- 2θ 23.40, rel. 84
- 2θ 26.53, rel. 61
- 2θ 30.34, rel. 100
- 2θ 37.69, rel. 99
- 2θ 42.55, rel. 78
- 2θ 43.27, rel. 59
- 2θ 43.65, rel. 88
- 2θ 52.57, rel. 61

Structure:
abc: 10.871 10.871 10.871
angles: 92.58 92.58 155.52
Fractional positions:
Nb (0.089, 0.217, 0.306)
Nb (0.089, 0.783, 0.872)
Nb (0.217, 0.089, 0.306)
Nb (0.217, 0.911, 0.128)
Nb (0.783, 0.089, 0.872)
Nb (0.783, 0.911, 0.694)
Nb (0.911, 0.217, 0.128)
Nb (0.911, 0.783, 0.694)
Si (0.000, 0.371, 0.371)
Si (0.000, 0.629, 0.629)
Si (0.254, 0.254, 0.000)
Si (0.310, 0.500, 0.810)
Si (0.331, 0.331, 0.662)
Si (0.331, 0.669, 0.000)
Si (0.371, 0.000, 0.371)
Si (0.500, 0.310, 0.810)
Si (0.500, 0.690, 0.190)
Si (0.629, 0.000, 0.629)
Si (0.669, 0.331, 0.000)
Si (0.669, 0.669, 0.338)
Si (0.690, 0.500, 0.190)
Si (0.746, 0.746, 0.000)
Ni (0.118, 0.618, 0.236)
Ni (0.118, 0.882, 0.500)
Ni (0.382, 0.618, 0.500)
Ni (0.382, 0.882, 0.764)
Ni (0.618, 0.118, 0.236)
Ni (0.618, 0.382, 0.500)
Ni (0.882, 0.118, 0.500)
Ni (0.882, 0.382, 0.764)



10.
Starting from DFT lattice parameters and positions (PBE), the XRD peak list of SnPbO3 was simulated for Cu Kα, 1.54184 Å.
Kinematic intensities with the Lorentz-polarization factor, no thermal factor.

Main lines, low angle first (2θ = 10–90°):
- 2θ 21.53, rel. 5
- 2θ 30.63, rel. 100
- 2θ 37.75, rel. 7
- 2θ 43.87, rel. 28
- 2θ 49.37, rel. 3
- 2θ 54.45, rel. 42
- 2θ 63.78, rel. 18
- 2θ 72.40, rel. 19
- 2θ 80.63, rel. 6
- 2θ 88.67, rel. 24

Structure:
abc: 4.128 4.128 4.128
angles: 90.00 90.00 90.00
Fractional positions:
Sn (0.000, 0.000, 0.000)
Pb (0.500, 0.500, 0.500)
O (0.000, 0.000, 0.500)
O (0.000, 0.500, 0.000)
O (0.500, 0.000, 0.000)



11.
Starting from DFT lattice parameters and positions (PBE), the XRD peak list of CoNi2S4 was simulated for Cu Kα, 1.54184 Å.
Kinematic intensities with the Lorentz-polarization factor, no thermal factor.

Main lines, low angle first (2θ = 10–90°):
- 2θ 14.99, rel. 62
- 2θ 17.13, rel. 62
- 2θ 30.55, rel. 77
- 2θ 34.25, rel. 44
- 2θ 35.58, rel. 92
- 2θ 45.53, rel. 59
- 2θ 46.31, rel. 70
- 2θ 47.41, rel. 100
- 2θ 53.91, rel. 87
- 2θ 54.49, rel. 42

Structure:
abc: 5.181 3.368 5.918
angles: 90.00 92.58 90.00
Fractional positions:
Co (0.000, 0.000, 0.000)
Ni (0.000, 0.500, 0.500)
Ni (0.500, 0.000, 0.000)
S (0.215, 0.000, 0.679)
S (0.246, 0.500, 0.164)
S (0.754, 0.500, 0.836)
S (0.785, 0.000, 0.321)



12.
Starting from DFT lattice parameters and positions (PBE), the XRD peak list of Cd2GaAgSe2S2 was simulated for Cu Kα, 1.54184 Å.
Kinematic intensities with the Lorentz-polarization factor, no thermal factor.

Main lines, low angle first (2θ = 10–90°):
- 2θ 24.28, rel. 43
- 2θ 24.70, rel. 100
- 2θ 25.88, rel. 79
- 2θ 28.10, rel. 63
- 2θ 36.33, rel. 49
- 2θ 42.98, rel. 79
- 2θ 43.73, rel. 39
- 2θ 46.62, rel. 48
- 2θ 47.26, rel. 56
- 2θ 51.47, rel. 43

Structure:
abc: 7.987 7.987 7.334
angles: 115.80 115.80 30.04
Fractional positions:
Cd (0.000, 0.000, 0.000)
Cd (0.502, 0.502, 0.517)
Ga (0.238, 0.238, 0.930)
Ag (0.736, 0.736, 0.409)
Se (0.419, 0.419, 0.101)
Se (0.928, 0.928, 0.605)
S (0.184, 0.184, 0.174)
S (0.692, 0.692, 0.724)